For Li2Fe3P4O14, a structure optimized by DFT (PBE+U) gives the theoretical X-ray diffraction stick pattern in this record (Cu Kα).
Lines closer than 0.1° are merged.

Structure:
Unit cell a=5.347 b=6.491 c=16.067 alpha=82.50 beta=82.14 gamma=72.09
Space group P-1 (No. 2)
Inequivalent atoms, fractional coordinates:
1 Li 0.085 0.194 0.484 x2
2 Li 0.332 0.706 0.617 x2
3 Fe 0.054 0.638 0.318 x2
4 Fe 0.193 0.297 0.095 x2
5 Fe 0.235 0.962 0.833 x2
6 P 0.185 0.108 0.297 x2
7 P 0.300 0.788 0.041 x2
8 P 0.372 0.414 0.820 x2
9 P 0.466 0.758 0.425 x2
10 O 0.015 0.014 0.710 x2
11 O 0.048 0.302 0.350 x2
12 O 0.128 0.993 0.083 x2
13 O 0.167 0.609 0.051 x2
14 O 0.186 0.644 0.834 x2
15 O 0.224 0.280 0.784 x2
16 O 0.236 0.301 0.569 x2
17 O 0.285 0.856 0.502 x2
18 O 0.340 0.159 0.214 x2
19 O 0.367 0.583 0.227 x2
20 O 0.386 0.572 0.398 x2
21 O 0.408 0.839 0.950 x2
22 O 0.420 0.959 0.351 x2
23 O 0.428 0.295 0.914 x2

Main lines, low angle first (2θ = 10–90°):
| 2θ (°) | d/Å | I (rel.) |
| --- | --- | --- |
| 17.41 | 5.095 | 32.4 |
| 21.78 | 4.080 | 34.1 |
| 25.59 | 3.481 | 32.9 |
| 27.12 | 3.288 | 81.1 |
| 29.06 | 3.073 | 28.6 |
| 29.63 | 3.015 | 100.0 |
| 30.06 | 2.973 | 68.2 |
| 31.26 | 2.861 | 37.0 |
| 31.74 | 2.819 | 64.8 |
| 35.36 | 2.538 | 28.2 |